The following is a simulated X-ray powder pattern of Li7Nb12O24. It was derived from a crystal structure in Alexandria, relaxed with GGA-PBE, using Cu Ka.
Kinematic intensities with the Lorentz-polarization factor, no thermal factor.

Atomic structure:
Cell lengths 5.141, 8.907, 11.043 Å; angles 82.29, 76.99, 90.00 degrees
Fractional coordinates of all 43 atoms:
Li1 0.000 0.000 0.000
Li2 0.001 0.334 0.999
Li3 0.257 0.084 0.499
Li4 0.257 0.417 0.499
Li5 0.743 0.583 0.501
Li6 0.743 0.916 0.501
Li7 0.999 0.666 0.001
Nb1 0.035 0.127 0.254
Nb2 0.035 0.454 0.254
Nb3 0.042 0.791 0.253
Nb4 0.458 0.708 0.752
Nb5 0.467 0.044 0.753
Nb6 0.467 0.372 0.753
Nb7 0.533 0.628 0.247
Nb8 0.533 0.956 0.247
Nb9 0.542 0.292 0.248
Nb10 0.958 0.209 0.747
Nb11 0.965 0.546 0.746
Nb12 0.965 0.873 0.746
O1 0.143 0.600 0.372
O2 0.143 0.943 0.372
O3 0.160 0.271 0.372
O4 0.224 0.189 0.869
O5 0.228 0.520 0.869
O6 0.229 0.857 0.869
O7 0.248 0.642 0.136
O8 0.248 0.979 0.136
O9 0.253 0.310 0.136
O10 0.346 0.228 0.631
O11 0.360 0.556 0.631
O12 0.360 0.901 0.631
O13 0.640 0.099 0.369
O14 0.640 0.444 0.369
O15 0.654 0.772 0.369
O16 0.747 0.690 0.864
O17 0.752 0.021 0.864
O18 0.752 0.358 0.864
O19 0.771 0.143 0.131
O20 0.772 0.480 0.131
O21 0.776 0.811 0.131
O22 0.840 0.729 0.628
O23 0.857 0.057 0.628
O24 0.857 0.400 0.628

Peak list (10 most intense, 5° ≤ 2θ ≤ 70°, sorted by position)
2theta  Rel. int.
16.64  100
34.90  19
35.92  29
38.82  10
38.98  10
43.34  27
43.57  27
55.93  9
56.17  8
62.58  14